# HoPaIn2O8
Theoretical powder diffractogram, Cu Kα X-rays. Input: a crystal structure in Alexandria, relaxed with PBE.
Peak positions follow from Bragg's law for the DFT cell and can differ from measured ones.

Cell and atoms:
Cell: 6.1799 6.1799 6.1799 Å, 110.85 110.85 106.74°
Atoms (fractional coordinates):
Ho (0.0000, 0.0000, 0.0000)
Pa (0.7500, 0.2500, 0.5000)
In (0.2500, 0.7500, 0.5000)
In (0.5000, 0.5000, 0.0000)
O (0.0332, 0.3504, 0.3172)
O (0.0332, 0.7159, 0.6828)
O (0.0972, 0.2908, 0.8064)
O (0.2841, 0.9668, 0.3172)
O (0.4844, 0.2908, 0.1936)
O (0.6496, 0.9668, 0.6828)
O (0.7092, 0.5156, 0.8064)
O (0.7092, 0.9028, 0.1936)

The 8 most intense peaks (2θ from 10° to 80°), sorted by position:
17.4 deg, I 19; 25.4 deg, I 97; 30.2 deg, I 100; 36.2 deg, I 26; 47.9 deg, I 72; 56.4 deg, I 21; 58.9 deg, I 16; 61.5 deg, I 20